Simulated powder diffraction line list of Ba2Ac2Au3 for a wavelength of 1.5418 Å, from a GGA-PBE-relaxed structure.
Lines closer than 0.1° are merged.

Structural model:
```
Ba2Ac2Au3
1.0
-4.972 4.972 4.972
4.972 -4.972 4.972
4.972 4.972 -4.972
Ba Ac Au
4 4 6
direct
0.000 0.868 0.500 Ba
0.500 0.000 0.868 Ba
0.632 0.632 0.632 Ba
0.868 0.500 0.000 Ba
0.000 0.376 0.500 Ac
0.124 0.124 0.124 Ac
0.376 0.500 0.000 Ac
0.500 0.000 0.376 Ac
0.149 0.750 0.899 Au
0.250 0.601 0.351 Au
0.351 0.250 0.601 Au
0.601 0.351 0.250 Au
0.750 0.899 0.149 Au
0.899 0.149 0.750 Au
```

Main lines, sorted by position (2θ from 10° to 90°):
d 3.145, 28.38°, I 100; d 2.658, 33.72°, I 63; d 2.224, 40.57°, I 14; d 2.120, 42.64°, I 12; d 2.030, 44.64°, I 12; d 1.950, 46.57°, I 28; d 1.613, 57.09°, I 26; d 1.572, 58.72°, I 13; d 1.535, 60.32°, I 15; d 1.353, 69.45°, I 19


Simulated powder diffraction line list of EuDyPd4 for a wavelength of 1.5418 Å, from a GGA-PBE-relaxed structure.
Lines closer than 0.1° are merged.

Structural model:
```
EuDyPd4
1.0
0.000 3.878 3.878
3.878 0.000 3.878
3.878 3.878 0.000
Eu Dy Pd
1 1 4
direct
0.000 0.000 0.000 Eu
0.750 0.750 0.750 Dy
0.375 0.375 0.375 Pd
0.375 0.375 0.874 Pd
0.375 0.874 0.375 Pd
0.874 0.375 0.375 Pd
```

Main lines, sorted by position (2θ from 10° to 90°):
d 2.742, 32.66°, I 40; d 2.338, 38.50°, I 100; d 2.239, 40.28°, I 29; d 1.939, 46.86°, I 1; d 1.583, 58.28°, I 15; d 1.493, 62.20°, I 32; d 1.371, 68.43°, I 26; d 1.226, 77.90°, I 7; d 1.183, 81.36°, I 11; d 1.169, 82.50°, I 10


Simulated powder diffraction line list of Os7C for a wavelength of 1.5418 Å, from a GGA-PBE-relaxed structure.
Lines closer than 0.1° are merged.

Structural model:
```
Os7C
1.0
0.000 3.828 3.828
3.828 0.000 3.828
3.828 3.828 0.000
Os C
7 1
direct
0.000 0.000 0.000 Os
0.000 0.000 0.500 Os
0.000 0.500 0.000 Os
0.000 0.500 0.500 Os
0.500 0.000 0.000 Os
0.500 0.000 0.500 Os
0.500 0.500 0.000 Os
0.500 0.500 0.500 C
```

Main lines, sorted by position (2θ from 10° to 90°):
d 4.420, 20.09°, I 11; d 3.828, 23.24°, I 6; d 2.707, 33.09°, I 5; d 2.308, 39.02°, I 6; d 2.210, 40.83°, I 100; d 1.914, 47.50°, I 49; d 1.757, 52.07°, I 3; d 1.353, 69.44°, I 32; d 1.154, 83.81°, I 39; d 1.105, 88.47°, I 12